No. 1
For HfAgPO6, a cell relaxed with PBE gives the computed X-ray powder pattern in this record (Cu Kα (λ = 1.5418 Å)).
Intensities are scaled so that the largest is 100.

Main lines, low angle first (5 to 70 degrees two-theta):
Position (°2θ), I (rel.)
19.33, 10
19.90, 19
27.88, 100
34.82, 34
44.37, 9
45.18, 26
53.46, 32
58.28, 25
62.43, 11
64.35, 9

Structural model:
a = 5.153 Å, b = 5.153 Å, c = 4.592 Å
α = 90.00°, β = 90.00°, γ = 120.00°
Fractional coordinates of all 9 atoms:
Hf 0.000 0.000 0.000
Ag 0.333 0.667 0.500
P 0.667 0.333 0.000
O 0.382 0.065 0.790
O 0.382 0.317 0.210
O 0.683 0.065 0.210
O 0.683 0.618 0.790
O 0.935 0.317 0.790
O 0.935 0.618 0.210

***

No. 2
For HfAgTeO6, a cell relaxed with PBE gives the computed X-ray powder pattern in this record (Cu Kα (λ = 1.5418 Å)).
Intensities are scaled so that the largest is 100.

Main lines, low angle first (5 to 70 degrees two-theta):
Position (°2θ), I (rel.)
18.57, 24
26.60, 100
33.00, 54
37.66, 10
38.13, 21
42.88, 26
50.93, 48
55.15, 26
58.93, 17
61.48, 9

Structural model:
a = 5.429 Å, b = 5.429 Å, c = 9.554 Å
α = 90.00°, β = 90.00°, γ = 120.00°
Fractional coordinates of all 18 atoms:
Hf 0.333 0.667 0.250
Hf 0.667 0.333 0.750
Ag 0.000 0.000 0.000
Ag 0.000 0.000 0.500
Te 0.333 0.667 0.750
Te 0.667 0.333 0.250
O 0.019 0.377 0.639
O 0.019 0.642 0.861
O 0.358 0.377 0.861
O 0.358 0.981 0.639
O 0.377 0.019 0.139
O 0.377 0.358 0.361
O 0.623 0.642 0.639
O 0.623 0.981 0.861
O 0.642 0.019 0.361
O 0.642 0.623 0.139
O 0.981 0.358 0.139
O 0.981 0.623 0.361

***

No. 3
For Hf5AgOs4, a cell relaxed with PBE gives the computed X-ray powder pattern in this record (Cu Kα (λ = 1.5418 Å)).
Intensities are scaled so that the largest is 100.

Main lines, low angle first (5 to 70 degrees two-theta):
Position (°2θ), I (rel.)
5.22, 12
10.45, 2
15.71, 1
38.46, 100
39.32, 50
42.49, 5
54.19, 8
56.82, 17
60.13, 1
68.98, 15

Structural model:
a = 3.241 Å, b = 3.241 Å, c = 16.926 Å
α = 90.00°, β = 90.00°, γ = 90.00°
Fractional coordinates of all 10 atoms:
Hf 0.000 0.000 0.000
Hf 0.000 0.000 0.193
Hf 0.000 0.000 0.388
Hf 0.000 0.000 0.612
Hf 0.000 0.000 0.807
Ag 0.500 0.500 0.500
Os 0.500 0.500 0.097
Os 0.500 0.500 0.292
Os 0.500 0.500 0.708
Os 0.500 0.500 0.903